Computed powder diffractogram
Compound: Ti3Nb2Cr3O16
Radiation: λ = 1.5418 Å (Cu Kα)
Structure: DFT lattice parameters and positions (GGA+U)
No peak broadening, texture or thermal motion is included.

Top 12 peaks for 2θ = 10–90°, by angle:
h k l	2theta	d (Å)	intensity
0 0 2	18.9	4.702	389
1 0 -1	19.4	4.577	707
-1 1 1	19.6	4.519	1000
1 0 1	19.8	4.495	353
0 1 2	25.8	3.453	274
1 0 -3	33.1	2.705	254
1 -2 2	35.5	2.530	296
-1 2 2	35.7	2.515	262
1 1 2	35.8	2.506	250
2 -1 2	36.0	2.497	241
-2 2 1	36.2	2.485	254
0 2 -5	60.3	1.536	197

Structure:
```
data_Ti3Nb2Cr3O16
_chemical_formula_sum 'Ti3 Nb2 Cr3 O16'
_cell_length_a 5.9509
_cell_length_b 5.9784
_cell_length_c 9.4057
_cell_angle_alpha 90.44
_cell_angle_beta 90.78
_cell_angle_gamma 119.59
_space_group_name_H-M_alt 'P 1'
_space_group_IT_number 1
loop_
_space_group_symop_operation_xyz
'x,y,z'
loop_
_atom_site_label
_atom_site_fract_x
_atom_site_fract_y
_atom_site_fract_z
Ti1 0.0000 0.0000 0.0000
Ti2 0.0194 0.5000 0.0080
Ti3 0.8452 0.6798 0.5054
Nb1 0.5009 0.4989 0.7815
Nb2 0.8453 0.1803 0.2831
Cr1 0.3559 0.1935 0.4891
Cr2 0.3655 0.6905 0.4998
Cr3 0.5246 0.0188 0.9901
O1 0.0110 0.0177 0.3820
O2 0.0152 0.5082 0.3843
O3 0.1472 0.3263 0.1205
O4 0.1854 0.8486 0.0876
O5 0.1956 0.8532 0.5843
O6 0.2390 0.3871 0.6162
O7 0.3492 0.1830 0.8801
O8 0.3540 0.6756 0.8824
O9 0.5200 0.5322 0.3904
O10 0.5237 0.0188 0.3808
O11 0.6662 0.8140 0.6173
O12 0.6738 0.3849 0.6176
O13 0.7142 0.8947 0.1180
O14 0.7166 0.3334 0.1191
O15 0.8390 0.6778 0.8817
O16 0.8653 0.1882 0.8892
```